Structure and computed powder XRD pattern of TbSi2Ir2 (a crystal structure in the Materials Project, relaxed with GGA-PBE; copper Kα).
Peak positions follow from Bragg's law for the DFT cell and can differ from measured ones.

a b c (Å): 4.1402 4.1402 9.8721
angles (deg): 90.00 90.00 90.00
Element x y z (fractional)
Tb 0.2500 0.2500 0.2453
Tb 0.7500 0.7500 0.7547
Si 0.2500 0.2500 0.6310
Si 0.2500 0.7500 0.0000
Si 0.7500 0.2500 0.0000
Si 0.7500 0.7500 0.3690
Ir 0.2500 0.2500 0.8716
Ir 0.2500 0.7500 0.5000
Ir 0.7500 0.2500 0.5000
Ir 0.7500 0.7500 0.1284

Main lines, in order of falling intensity (2θ = 10–90°):
2θ/deg  I (rel.)
35.66  100
31.88  69
43.73  67
34.83  65
57.08  31
27.10  29
28.13  28
51.26  26
75.06  23
63.56  22

Structure and computed powder XRD pattern of Tb2Si3Ir3 (a crystal structure in the Materials Project, relaxed with GGA-PBE; copper Kα).
Peak positions follow from Bragg's law for the DFT cell and can differ from measured ones.

a b c (Å): 2.9419 3.4570 13.4620
angles (deg): 89.98 85.65 90.00
Element x y z (fractional)
Tb 0.0000 0.0000 0.0000
Tb 0.1023 0.0006 0.4959
Si 0.0415 0.0001 0.2476
Si 0.5271 0.4995 0.8442
Si 0.5743 0.5020 0.6528
Ir 0.0732 0.0022 0.7486
Ir 0.4432 0.4995 0.1505
Ir 0.6693 0.5021 0.3477

Main lines, in order of falling intensity (2θ = 10–90°):
2θ/deg  I (rel.)
37.35  100
40.32  90
26.62  60
39.23  50
67.86  28
52.98  23
19.84  22
33.38  19
42.44  18
31.71  15

Structure and computed powder XRD pattern of ThSi2Ir2 (a crystal structure in the Materials Project, relaxed with GGA-PBE; copper Kα).
Peak positions follow from Bragg's law for the DFT cell and can differ from measured ones.

a b c (Å): 4.1921 4.1921 9.9876
angles (deg): 90.00 90.00 90.00
Element x y z (fractional)
Th 0.2500 0.2500 0.2455
Th 0.7500 0.7500 0.7545
Si 0.2500 0.2500 0.6312
Si 0.2500 0.7500 0.0000
Si 0.7500 0.2500 0.0000
Si 0.7500 0.7500 0.3688
Ir 0.2500 0.2500 0.8737
Ir 0.2500 0.7500 0.5000
Ir 0.7500 0.2500 0.5000
Ir 0.7500 0.7500 0.1263

Main lines, in order of falling intensity (2θ = 10–90°):
2θ/deg  I (rel.)
35.21  100
34.40  73
43.16  62
31.48  53
56.32  37
50.62  27
73.98  24
68.66  22
26.78  22
62.68  21

Structure and computed powder XRD pattern of ThSi2Ir2 (a crystal structure in the Materials Project, relaxed with GGA-PBE; copper Kα).
Peak positions follow from Bragg's law for the DFT cell and can differ from measured ones.

a b c (Å): 5.8363 5.8363 5.8363
angles (deg): 137.38 137.38 61.85
Element x y z (fractional)
Th 0.0000 0.0000 0.0000
Si 0.2500 0.7500 0.5000
Si 0.7500 0.2500 0.5000
Ir 0.3691 0.3691 0.0000
Ir 0.6309 0.6309 0.0000

Main lines, in order of falling intensity (2θ = 10–90°):
2θ/deg  I (rel.)
34.18  100
29.79  78
55.73  51
42.63  44
50.39  24
34.87  22
68.08  20
61.86  15
88.02  15
83.73  14

Structure and computed powder XRD pattern of ThSiIr (a crystal structure in the Materials Project, relaxed with GGA-PBE; copper Kα).
Peak positions follow from Bragg's law for the DFT cell and can differ from measured ones.

a b c (Å): 7.8168 7.8168 7.8168
angles (deg): 148.90 148.90 44.55
Element x y z (fractional)
Th 0.0000 0.0000 0.0000
Th 0.7500 0.2500 0.5000
Si 0.1726 0.6726 0.5000
Si 0.4226 0.4226 0.0000
Ir 0.3408 0.8408 0.5000
Ir 0.5908 0.5908 0.0000

Main lines, in order of falling intensity (2θ = 10–90°):
2θ/deg  I (rel.)
32.66  100
28.21  51
37.78  50
43.18  37
58.70  29
49.15  21
72.52  21
52.38  19
67.46  16
72.74  13

Structure and computed powder XRD pattern of Th2Si3Ir (a crystal structure in the Materials Project, relaxed with GGA-PBE; copper Kα).
Peak positions follow from Bragg's law for the DFT cell and can differ from measured ones.

a b c (Å): 7.7217 7.7217 7.7217
angles (deg): 149.20 148.15 44.90
Element x y z (fractional)
Th 0.0000 0.0000 0.0000
Th 0.7517 0.2517 0.5000
Si 0.1680 0.6680 0.5000
Si 0.3348 0.8348 0.5000
Si 0.4204 0.4204 0.0000
Ir 0.5869 0.5869 0.0000

Main lines, in order of falling intensity (2θ = 10–90°):
2θ/deg  I (rel.)
32.88  100
28.74  40
38.01  28
21.88  25
38.42  19
42.67  18
44.16  16
12.40  16
52.26  16
59.65  16

Structure and computed powder XRD pattern of ThSiIr (a crystal structure in the Materials Project, relaxed with GGA-PBE; copper Kα).
Peak positions follow from Bragg's law for the DFT cell and can differ from measured ones.

a b c (Å): 8.1157 8.1157 8.1157
angles (deg): 151.30 150.33 41.75
Element x y z (fractional)
Th 0.3720 0.1220 0.2500
Th 0.6280 0.8780 0.7500
Si 0.0407 0.2907 0.7500
Si 0.9593 0.7093 0.2500
Ir 0.1967 0.4467 0.7500
Ir 0.8033 0.5533 0.2500

Main lines, in order of falling intensity (2θ = 10–90°):
2θ/deg  I (rel.)
33.17  100
11.67  37
36.68  35
28.35  31
59.46  27
43.55  18
45.08  17
39.19  16
47.32  15
47.68  13

Structure and computed powder XRD pattern of Tm5Si10Ir4 (a crystal structure in the Materials Project, relaxed with GGA-PBE; copper Kα).
Peak positions follow from Bragg's law for the DFT cell and can differ from measured ones.

a b c (Å): 12.5794 12.5794 4.2312
angles (deg): 90.00 90.00 90.00
Element x y z (fractional)
Tm 0.0000 0.0000 0.0000
Tm 0.1159 0.3841 0.5000
Tm 0.1754 0.6754 0.5000
Tm 0.3246 0.1754 0.5000
Tm 0.3841 0.8841 0.5000
Tm 0.5000 0.5000 0.0000
Tm 0.6159 0.1159 0.5000
Tm 0.6754 0.8246 0.5000
Tm 0.8246 0.3246 0.5000
Tm 0.8841 0.6159 0.5000
Si 0.0037 0.8445 0.5000
Si 0.0656 0.5656 0.0000
Si 0.1555 0.0037 0.5000
Si 0.1641 0.2008 0.0000
Si 0.2008 0.8359 0.0000
Si 0.2992 0.3359 0.0000
Si 0.3359 0.7008 0.0000
Si 0.3445 0.5037 0.5000
Si 0.4344 0.0656 0.0000
Si 0.4963 0.3445 0.5000
Si 0.5037 0.6555 0.5000
Si 0.5656 0.9344 0.0000
Si 0.6555 0.4963 0.5000
Si 0.6641 0.2992 0.0000
Si 0.7008 0.6641 0.0000
Si 0.7992 0.1641 0.0000
Si 0.8359 0.7992 0.0000
Si 0.8445 0.9963 0.5000
Si 0.9344 0.4344 0.0000
Si 0.9963 0.1555 0.5000
Ir 0.0206 0.7541 0.0000
Ir 0.2459 0.0206 0.0000
Ir 0.2541 0.5206 0.0000
Ir 0.4794 0.2541 0.0000
Ir 0.5206 0.7459 0.0000
Ir 0.7459 0.4794 0.0000
Ir 0.7541 0.9794 0.0000
Ir 0.9794 0.2459 0.0000

Main lines, in order of falling intensity (2θ = 10–90°):
2θ/deg  I (rel.)
35.57  100
36.30  35
29.13  34
42.74  33
37.02  31
22.35  26
40.57  25
19.96  22
23.28  22
46.16  18